# Ce4PdPt
Simulated powder diffraction line list, λ = 1.5418 Å (Cu Kα). Input: a structure optimized by DFT (PBE).
Peak positions follow from Bragg's law for the DFT cell and can differ from measured ones.

Atomic structure:
Unit cell a=8.2542 b=8.2542 c=7.4562 alpha=110.69 beta=110.69 gamma=43.67
Fractional coordinates of all 12 atoms:
Ce  0.0110  0.8554  0.5625
Ce  0.1446  0.9890  0.9375
Ce  0.2718  0.4355  0.8827
Ce  0.4355  0.2718  0.3827
Ce  0.5645  0.7282  0.6173
Ce  0.7282  0.5645  0.1173
Ce  0.8554  0.0110  0.0625
Ce  0.9890  0.1446  0.4375
Pd  0.0000  0.5000  0.5000
Pd  0.5000  0.0000  0.0000
Pt  0.3853  0.6147  0.2500
Pt  0.6147  0.3853  0.7500

Principal peaks in the range 10° ≤ 2θ ≤ 90°, sorted by position:
| d [Å] | I (rel.) |
| --- | --- |
| 7.085 | 25 |
| 3.139 | 22 |
| 2.759 | 100 |
| 2.426 | 28 |
| 2.386 | 19 |
| 2.251 | 20 |
| 2.224 | 18 |
| 1.923 | 20 |

=====

# Ce2Pd3Pt3
Simulated powder diffraction line list, λ = 1.5418 Å (Cu Kα). Input: a structure optimized by DFT (PBE).
Peak positions follow from Bragg's law for the DFT cell and can differ from measured ones.

Atomic structure:
Unit cell a=4.1608 b=4.1667 c=8.3332 alpha=90.00 beta=90.00 gamma=90.00
Fractional coordinates of all 8 atoms:
Ce  0.0000  0.0000  0.2501
Ce  0.0000  0.0000  0.7499
Pd  0.0000  0.5000  0.0000
Pd  0.5000  0.5000  0.2493
Pd  0.5000  0.5000  0.7507
Pt  0.0000  0.5000  0.5000
Pt  0.5000  0.0000  0.0000
Pt  0.5000  0.0000  0.5000

Principal peaks in the range 10° ≤ 2θ ≤ 90°, sorted by position:
| d [Å] | I (rel.) |
| --- | --- |
| 8.333 | 2 |
| 4.167 | 4 |
| 2.944 | 3 |
| 2.404 | 100 |
| 2.082 | 49 |
| 1.472 | 32 |
| 1.256 | 38 |
| 1.202 | 11 |

=====

# Ce6PdPt3
Simulated powder diffraction line list, λ = 1.5418 Å (Cu Kα). Input: a structure optimized by DFT (PBE).
Peak positions follow from Bragg's law for the DFT cell and can differ from measured ones.

Atomic structure:
Unit cell a=6.7750 b=7.6255 c=12.5449 alpha=90.00 beta=121.75 gamma=90.00
Fractional coordinates of all 20 atoms:
Ce  0.0796  0.1723  0.4192
Ce  0.0796  0.3277  0.9192
Ce  0.2603  0.6733  0.4157
Ce  0.2603  0.8267  0.9157
Ce  0.4193  0.0586  0.2503
Ce  0.4193  0.4414  0.7503
Ce  0.5807  0.5586  0.2497
Ce  0.5807  0.9414  0.7497
Ce  0.7397  0.1733  0.0843
Ce  0.7397  0.3267  0.5843
Ce  0.9204  0.6723  0.0808
Ce  0.9204  0.8277  0.5808
Pd  0.0000  0.0000  0.0000
Pd  0.0000  0.5000  0.5000
Pt  0.1860  0.1211  0.7440
Pt  0.1860  0.3789  0.2440
Pt  0.5000  0.0000  0.5000
Pt  0.5000  0.5000  0.0000
Pt  0.8140  0.6211  0.7560
Pt  0.8140  0.8789  0.2560

Principal peaks in the range 10° ≤ 2θ ≤ 90°, sorted by position:
| d [Å] | I (rel.) |
| --- | --- |
| 3.175 | 69 |
| 3.128 | 62 |
| 2.985 | 85 |
| 2.927 | 64 |
| 2.894 | 74 |
| 2.600 | 68 |
| 2.380 | 100 |
| 1.995 | 62 |